[1]
Mg8AlGa6: calculated X-ray powder pattern (copper Kα), based on the GGA-PBE geometry in Alexandria.
Neutral-atom scattering factors, no anomalous dispersion.

Atomic structure:
```
data_Mg8AlGa6
_space_group_name_H-M_alt 'R -3'
_space_group_IT_number 148
_space_group_name_Hall '-R 3'
_cell_length_a 7.8859
_cell_length_b 7.8859
_cell_length_c 17.9612
_cell_angle_alpha 90.00
_cell_angle_beta 90.00
_cell_angle_gamma 120.00
loop_
_atom_site_label
_atom_site_type_symbol
_atom_site_fract_x
_atom_site_fract_y
_atom_site_fract_z
Mg1 Mg 0.0000 0.0000 0.1665
Mg2 Mg 0.0028 0.6611 0.3850
Al1 Al 0.0000 0.0000 0.5000
Ga1 Ga 0.0018 0.6783 0.5581
```

Top 8 peaks for 2θ = 10–80°, in order of rising 2θ:
| d/Å | I/Imax | hkl |
| --- | --- | --- |
| 5.987 | 26 | 0 0 3 |
| 3.943 | 37 | 1 1 0 |
| 3.293 | 51 | 1 1 3 |
| 2.384 | 100 | 1 1 6 |
| 2.276 | 80 | 3 0 0 |
| 1.646 | 30 | 4 -2 6 |
| 1.399 | 18 | 2 -1 12 |
| 1.334 | 28 | 4 1 6 |

[2]
Ti2Bi2O7: calculated X-ray powder pattern (copper Kα), based on the GGA-PBE geometry in Alexandria.
Neutral-atom scattering factors, no anomalous dispersion.

Atomic structure:
a b c (Å): 10.4076 10.4076 10.4076
angles (deg): 90.00 90.00 90.00
Space group Fd-3m (No. 227, origin choice 2)
Unique sites:
Ti 0.0000 0.0000 0.0000 [16 per cell]
Bi 0.0000 0.0000 0.5000 [16 per cell]
O 0.0738 0.3750 0.3750 [48 per cell]
O 0.1250 0.1250 0.6250 [8 per cell]

Top 8 peaks for 2θ = 10–80°, in order of rising 2θ:
| d/Å | I/Imax | hkl |
| --- | --- | --- |
| 6.009 | 40 | 1 1 1 |
| 3.138 | 25 | 3 1 1 |
| 3.004 | 100 | 2 2 2 |
| 2.602 | 34 | 4 0 0 |
| 2.388 | 25 | 3 3 1 |
| 2.003 | 14 | 5 1 1 |
| 1.840 | 46 | 4 4 0 |
| 1.569 | 44 | 6 2 2 |